Theoretical X-ray diffraction stick pattern
Compound: MnSe2
Radiation: Cu Kα
Structure: the PBE geometry in the Materials Project
Kinematic intensities with the Lorentz-polarization factor, no thermal factor.

The 10 most intense peaks (15° ≤ 2θ ≤ 90°), sorted by position:
h k l	2θ/deg	I/Imax
2 1 0	32.5	1000
2 1 1	35.7	712
2 2 0	41.4	119
3 1 1	49.0	572
3 0 2	53.6	167
3 1 2	55.8	392
4 2 1	69.9	205
3 3 3	81.1	144
5 0 2	84.7	171
5 2 1	86.5	110

Atomic structure:
Cell: 6.1649 6.1649 6.1649 Å, 90.00 90.00 90.00°
Fractional coordinates of all 12 atoms:
Mn 0.0000 0.0000 0.0000
Mn 0.0000 0.5000 0.5000
Mn 0.5000 0.0000 0.5000
Mn 0.5000 0.5000 0.0000
Se 0.1312 0.6312 0.8688
Se 0.1312 0.8688 0.3688
Se 0.3688 0.1312 0.8688
Se 0.3688 0.3688 0.3688
Se 0.6312 0.6312 0.6312
Se 0.6312 0.8688 0.1312
Se 0.8688 0.1312 0.6312
Se 0.8688 0.3688 0.1312